For NaMnWO6, a cell relaxed with PBE+U gives the computed powder X-ray diffraction pattern in this record (copper Kα).
Kinematic intensities with the Lorentz-polarization factor, no thermal factor.

Top 8 peaks for 10 to 90 degrees two-theta, low angle first:
| index | Position (°2θ) | Rel. int. |
| --- | --- | --- |
| 0 0 2 | 19.31 | 32 |
| 1 0 1 | 20.84 | 100 |
| 1 1 0 | 26.19 | 96 |
| 1 1 2 | 32.75 | 28 |
| 1 0 3 | 34.71 | 69 |
| 2 1 1 | 43.18 | 27 |
| 2 1 3 | 51.93 | 60 |
| 1 1 6 | 66.97 | 21 |

```
data_NaMnWO6
_cell_length_a 4.8112
_cell_length_b 4.8112
_cell_length_c 9.1931
_cell_angle_alpha 90.00
_cell_angle_beta 90.00
_cell_angle_gamma 90.00
_space_group_name_H-M_alt 'P 42 n m'
_space_group_IT_number 102
loop_
_space_group_symop_operation_xyz
'x,y,z'
'-y+1/2,x+1/2,z+1/2'
'-x,-y,z'
'y+1/2,-x+1/2,z+1/2'
'-x+1/2,y+1/2,z+1/2'
'y,x,z'
'x+1/2,-y+1/2,z+1/2'
'-y,-x,z'
loop_
_atom_site_label
_atom_site_fract_x
_atom_site_fract_y
_atom_site_fract_z
Na1 0.0000 0.0000 0.0000
Mn1 0.0000 0.0000 0.3316
W1 0.0000 0.0000 0.6639
O1 0.1734 0.1734 0.4947
O2 0.2168 0.2168 0.1908
O3 0.2202 0.2202 0.7999
```